No. 1
For BaCeEuSbO6, a structure optimized by DFT (PBE) gives the calculated XRD peak list in this record (copper Kα).

Structure:
a = 6.0091 Å, b = 6.1096 Å, c = 8.5680 Å
α = 90.16°, β = 90.27°, γ = 90.52°
Space group P-1 (No. 2)
Unique sites:
Ba 0.0113 0.0393 0.2495
Ce 0.0000 0.5000 0.5000
Ce 0.5000 0.0000 0.0000
Eu 0.4889 0.5450 0.2516
Sb 0.0000 0.5000 0.0000
Sb 0.5000 0.0000 0.5000
O 0.0920 0.5110 0.7620
O 0.2020 0.7746 0.0426
O 0.2266 0.7948 0.4575
O 0.2828 0.3067 0.0455
O 0.3089 0.2853 0.4561
O 0.4272 0.0249 0.7382

Main lines, sorted by position (2θ from 5° to 70°):
(0 2 0), 2θ = 29.24°, I = 31
(1 -1 2), 2θ = 29.44°, I = 100
(2 0 0), 2θ = 29.69°, I = 65
(2 -2 0), 2θ = 41.99°, I = 16
(0 0 4), 2θ = 42.19°, I = 18
(2 2 0), 2θ = 42.39°, I = 16
(0 2 -4), 2θ = 52.06°, I = 12
(0 2 4), 2θ = 52.22°, I = 12
(2 0 -4), 2θ = 52.38°, I = 15
(3 -1 2), 2θ = 52.60°, I = 22

No. 2
For Tb2AgPd, a structure optimized by DFT (PBE) gives the calculated XRD peak list in this record (copper Kα).

Structure:
a = 3.5333 Å, b = 3.5333 Å, c = 7.4840 Å
α = 90.00°, β = 90.00°, γ = 90.00°
Space group P4/mmm (No. 123)
Unique sites:
Tb 0.0000 0.0000 0.2356
Ag 0.5000 0.5000 0.5000
Pd 0.5000 0.5000 0.0000

Main lines, sorted by position (2θ from 5° to 70°):
(0 0 2), 2θ = 23.78°, I = 2
(1 0 0), 2θ = 25.21°, I = 3
(1 0 2), 2θ = 34.92°, I = 100
(1 1 0), 2θ = 35.95°, I = 48
(1 1 2), 2θ = 43.56°, I = 2
(1 0 3), 2θ = 44.46°, I = 1
(0 0 4), 2θ = 48.67°, I = 9
(2 0 0), 2θ = 51.75°, I = 17
(1 1 4), 2θ = 61.96°, I = 18
(2 1 2), 2θ = 63.96°, I = 34

No. 3
For Ca2Sn2O5, a structure optimized by DFT (PBE) gives the calculated XRD peak list in this record (copper Kα).

Structure:
a = 5.5824 Å, b = 10.5663 Å, c = 4.1737 Å
α = 90.00°, β = 90.00°, γ = 90.00°
Space group Pbam (No. 55)
Unique sites:
Ca 0.1550 0.1404 0.0000
Sn 0.1694 0.3940 0.5000
O 0.0000 0.0000 0.5000
O 0.1482 0.7195 0.5000
O 0.2248 0.3791 0.0000

Main lines, sorted by position (2θ from 5° to 70°):
(0 0 1), 2θ = 21.29°, I = 37
(1 2 0), 2θ = 23.18°, I = 52
(1 1 1), 2θ = 28.00°, I = 29
(1 2 1), 2θ = 31.68°, I = 100
(2 1 0), 2θ = 33.20°, I = 22
(0 4 0), 2θ = 33.94°, I = 32
(2 3 0), 2θ = 41.27°, I = 30
(0 0 2), 2θ = 43.36°, I = 32
(3 1 0), 2θ = 49.74°, I = 22
(3 1 1), 2θ = 54.69°, I = 30